# 1
This entry pairs a crystal structure of NaV6O13 with its simulated powder X-ray diffraction pattern. Radiation: Cu Kα X-rays. Structure: a DFT-relaxed cell (GGA+U, Alexandria).
Kinematic intensities with the Lorentz-polarization factor, no thermal factor.

Largest 10 diffraction maxima, sorted by position, 10 to 90 degrees two-theta:
2θ (°)  Rel. int.
14.83  30
16.87  36
24.86  100
25.42  63
27.14  21
29.62  30
32.80  45
43.02  35
44.82  42
48.49  51

Structure:
```
data_NaV6O13
_cell_length_a 3.755
_cell_length_b 11.469
_cell_length_c 12.135
_cell_angle_alpha 111.39
_cell_angle_beta 90.14
_cell_angle_gamma 99.39
_symmetry_space_group_name_H-M 'P 1'
_symmetry_Int_Tables_number 1
loop_
_symmetry_equiv_pos_as_xyz
'x,y,z'
loop_
_atom_site_label
_atom_site_fract_x
_atom_site_fract_y
_atom_site_fract_z
Na1 0.000 0.000 0.000
Na2 0.347 0.695 0.431
V1 0.107 0.209 0.432
V2 0.118 0.241 0.754
V3 0.227 0.451 0.675
V4 0.244 0.485 0.998
V5 0.399 0.801 0.796
V6 0.419 0.834 0.111
V7 0.604 0.205 0.231
V8 0.609 0.218 0.940
V9 0.738 0.475 0.488
V10 0.747 0.487 0.198
V11 0.940 0.892 0.640
V12 0.950 0.862 0.327
O1 0.024 0.051 0.687
O2 0.029 0.046 0.390
O3 0.112 0.222 0.270
O4 0.132 0.263 0.606
O5 0.133 0.265 0.931
O6 0.213 0.427 0.822
O7 0.214 0.426 0.497
O8 0.237 0.470 0.159
O9 0.321 0.644 0.743
O10 0.324 0.647 0.040
O11 0.417 0.843 0.649
O12 0.420 0.843 0.951
O13 0.421 0.845 0.285
O14 0.523 0.044 0.162
O15 0.530 0.060 0.904
O16 0.615 0.231 0.779
O17 0.626 0.248 0.410
O18 0.631 0.259 0.112
O19 0.718 0.431 0.315
O20 0.723 0.444 0.019
O21 0.733 0.463 0.649
O22 0.815 0.632 0.522
O23 0.829 0.647 0.267
O24 0.915 0.850 0.468
O25 0.918 0.843 0.784
O26 0.926 0.850 0.144
```



# 2
This entry pairs a crystal structure of NaV2O5 with its simulated powder X-ray diffraction pattern. Radiation: Cu Kα X-rays. Structure: a DFT-relaxed cell (GGA+U, Alexandria).
Kinematic intensities with the Lorentz-polarization factor, no thermal factor.

Largest 10 diffraction maxima, sorted by position, 10 to 90 degrees two-theta:
2θ (°)  Rel. int.
13.80  100
16.25  80
22.06  50
25.56  37
27.83  17
29.15  63
32.85  61
34.65  18
35.57  21
49.23  24

Structure:
```
data_NaV2O5
_cell_length_a 3.701
_cell_length_b 6.416
_cell_length_c 10.354
_cell_angle_alpha 90.00
_cell_angle_beta 90.00
_cell_angle_gamma 90.00
_symmetry_space_group_name_H-M 'P 1'
_symmetry_Int_Tables_number 1
loop_
_symmetry_equiv_pos_as_xyz
'x,y,z'
loop_
_atom_site_label
_atom_site_fract_x
_atom_site_fract_y
_atom_site_fract_z
Na1 0.000 0.132 0.000
Na2 0.500 0.868 0.500
V1 0.000 0.309 0.436
V2 0.000 0.544 0.721
V3 0.500 0.456 0.221
V4 0.500 0.691 0.936
O1 0.000 0.053 0.409
O2 0.000 0.325 0.623
O3 0.000 0.462 0.269
O4 0.000 0.588 0.915
O5 0.000 0.748 0.622
O6 0.500 0.252 0.122
O7 0.500 0.412 0.415
O8 0.500 0.538 0.769
O9 0.500 0.675 0.123
O10 0.500 0.947 0.909
```



# 3
This entry pairs a crystal structure of NaV2O4 with its simulated powder X-ray diffraction pattern. Radiation: Cu Kα X-rays. Structure: a DFT-relaxed cell (GGA+U, Alexandria).
Kinematic intensities with the Lorentz-polarization factor, no thermal factor.

Largest 10 diffraction maxima, sorted by position, 10 to 90 degrees two-theta:
2θ (°)  Rel. int.
19.26  79
33.52  43
33.69  72
35.39  100
40.23  23
42.77  28
49.56  38
49.73  29
61.04  21
61.31  28

Structure:
```
data_NaV2O4
_cell_length_a 3.036
_cell_length_b 9.201
_cell_length_c 10.695
_cell_angle_alpha 90.00
_cell_angle_beta 90.00
_cell_angle_gamma 90.00
_symmetry_space_group_name_H-M 'P 1'
_symmetry_Int_Tables_number 1
loop_
_symmetry_equiv_pos_as_xyz
'x,y,z'
loop_
_atom_site_label
_atom_site_fract_x
_atom_site_fract_y
_atom_site_fract_z
Na1 0.000 0.003 0.000
Na2 0.000 0.506 0.803
Na3 0.500 0.494 0.303
Na4 0.500 0.997 0.500
V1 0.000 0.172 0.259
V2 0.000 0.185 0.761
V3 0.000 0.672 0.548
V4 0.000 0.677 0.042
V5 0.500 0.323 0.542
V6 0.500 0.328 0.048
V7 0.500 0.815 0.261
V8 0.500 0.828 0.759
O1 0.000 0.174 0.589
O2 0.000 0.268 0.935
O3 0.000 0.365 0.167
O4 0.000 0.470 0.504
O5 0.000 0.675 0.231
O6 0.000 0.768 0.874
O7 0.000 0.859 0.629
O8 0.000 0.951 0.303
O9 0.500 0.049 0.803
O10 0.500 0.141 0.129
O11 0.500 0.232 0.374
O12 0.500 0.325 0.731
O13 0.500 0.530 0.004
O14 0.500 0.635 0.667
O15 0.500 0.732 0.435
O16 0.500 0.826 0.089
```



# 4
This entry pairs a crystal structure of NaV6O15 with its simulated powder X-ray diffraction pattern. Radiation: Cu Kα X-rays. Structure: a DFT-relaxed cell (GGA+U, Alexandria).
Kinematic intensities with the Lorentz-polarization factor, no thermal factor.

Largest 10 diffraction maxima, sorted by position, 10 to 90 degrees two-theta:
2θ (°)  Rel. int.
11.21  70
15.04  31
18.25  36
22.27  37
26.48  100
27.90  45
30.35  44
30.73  32
40.33  30
49.86  46

Structure:
```
data_NaV6O15
_cell_length_a 8.129
_cell_length_b 8.129
_cell_length_c 9.757
_cell_angle_alpha 94.70
_cell_angle_beta 94.70
_cell_angle_gamma 26.01
_symmetry_space_group_name_H-M 'P 1'
_symmetry_Int_Tables_number 1
loop_
_symmetry_equiv_pos_as_xyz
'x,y,z'
loop_
_atom_site_label
_atom_site_fract_x
_atom_site_fract_y
_atom_site_fract_z
Na1 0.000 0.000 0.000
V1 0.157 0.157 0.698
V2 0.285 0.285 0.001
V3 0.386 0.386 0.701
V4 0.676 0.676 0.174
V5 0.760 0.760 0.496
V6 0.963 0.963 0.468
O1 0.003 0.003 0.323
O2 0.062 0.062 0.593
O3 0.128 0.128 0.856
O4 0.211 0.211 0.160
O5 0.253 0.253 0.542
O6 0.292 0.292 0.818
O7 0.383 0.383 0.063
O8 0.444 0.444 0.523
O9 0.464 0.464 0.820
O10 0.578 0.578 0.109
O11 0.674 0.674 0.356
O12 0.687 0.687 0.665
O13 0.752 0.752 0.019
O14 0.845 0.845 0.393
O15 0.866 0.866 0.657
```



# 5
This entry pairs a crystal structure of NaV5O8 with its simulated powder X-ray diffraction pattern. Radiation: Cu Kα X-rays. Structure: a DFT-relaxed cell (GGA+U, Alexandria).
Kinematic intensities with the Lorentz-polarization factor, no thermal factor.

Largest 10 diffraction maxima, sorted by position, 10 to 90 degrees two-theta:
2θ (°)  Rel. int.
14.49  6
23.01  6
29.22  32
34.41  100
41.80  22
51.81  12
55.21  34
60.60  48
71.58  10
86.48  16

Structure:
```
data_NaV5O8
_cell_length_a 8.644
_cell_length_b 8.644
_cell_length_c 8.644
_cell_angle_alpha 90.00
_cell_angle_beta 90.00
_cell_angle_gamma 90.00
_symmetry_space_group_name_H-M 'P 1'
_symmetry_Int_Tables_number 1
loop_
_symmetry_equiv_pos_as_xyz
'x,y,z'
loop_
_atom_site_label
_atom_site_fract_x
_atom_site_fract_y
_atom_site_fract_z
Na1 0.125 0.125 0.125
Na2 0.375 0.875 0.625
Na3 0.625 0.375 0.875
Na4 0.875 0.625 0.375
V1 0.000 0.000 0.500
V2 0.000 0.500 0.000
V3 0.124 0.375 0.374
V4 0.125 0.626 0.624
V5 0.126 0.876 0.875
V6 0.250 0.250 0.750
V7 0.250 0.750 0.250
V8 0.374 0.124 0.375
V9 0.375 0.374 0.124
V10 0.376 0.625 0.874
V11 0.500 0.000 0.000
V12 0.500 0.500 0.500
V13 0.624 0.125 0.626
V14 0.625 0.874 0.376
V15 0.626 0.624 0.125
V16 0.750 0.250 0.250
V17 0.750 0.750 0.750
V18 0.874 0.376 0.625
V19 0.875 0.126 0.876
V20 0.876 0.875 0.126
O1 0.108 0.859 0.115
O2 0.109 0.858 0.635
O3 0.115 0.108 0.859
O4 0.115 0.385 0.615
O5 0.135 0.391 0.142
O6 0.135 0.635 0.865
O7 0.141 0.615 0.392
O8 0.142 0.135 0.391
O9 0.358 0.865 0.891
O10 0.359 0.385 0.892
O11 0.365 0.365 0.365
O12 0.365 0.609 0.642
O13 0.385 0.615 0.115
O14 0.385 0.892 0.359
O15 0.391 0.142 0.135
O16 0.392 0.141 0.615
O17 0.608 0.641 0.885
O18 0.609 0.642 0.365
O19 0.615 0.115 0.385
O20 0.615 0.392 0.141
O21 0.635 0.109 0.858
O22 0.635 0.865 0.135
O23 0.641 0.885 0.608
O24 0.642 0.365 0.609
O25 0.858 0.635 0.109
O26 0.859 0.115 0.108
O27 0.865 0.135 0.635
O28 0.865 0.891 0.358
O29 0.885 0.608 0.641
O30 0.885 0.885 0.885
O31 0.891 0.358 0.865
O32 0.892 0.359 0.385
```



# 6
This entry pairs a crystal structure of NaVO3 with its simulated powder X-ray diffraction pattern. Radiation: Cu Kα X-rays. Structure: a DFT-relaxed cell (GGA+U, Alexandria).
Kinematic intensities with the Lorentz-polarization factor, no thermal factor.

Largest 10 diffraction maxima, sorted by position, 10 to 90 degrees two-theta:
2θ (°)  Rel. int.
16.92  15
23.73  100
23.86  43
26.60  10
26.87  28
33.82  24
37.93  16
48.42  13
60.40  10
61.06  10

Structure:
```
data_NaVO3
_cell_length_a 8.065
_cell_length_b 8.065
_cell_length_c 8.065
_cell_angle_alpha 98.95
_cell_angle_beta 97.74
_cell_angle_gamma 135.21
_symmetry_space_group_name_H-M 'P 1'
_symmetry_Int_Tables_number 1
loop_
_symmetry_equiv_pos_as_xyz
'x,y,z'
loop_
_atom_site_label
_atom_site_fract_x
_atom_site_fract_y
_atom_site_fract_z
Na1 0.065 0.250 0.815
Na2 0.435 0.250 0.185
Na3 0.565 0.750 0.815
Na4 0.935 0.750 0.185
V1 0.080 0.705 0.784
V2 0.420 0.205 0.625
V3 0.580 0.795 0.375
V4 0.920 0.295 0.216
O1 0.097 0.864 0.962
O2 0.221 0.633 0.854
O3 0.250 0.591 0.341
O4 0.250 0.909 0.659
O5 0.279 0.133 0.411
O6 0.403 0.364 0.767
O7 0.597 0.636 0.233
O8 0.721 0.867 0.589
O9 0.750 0.091 0.341
O10 0.750 0.409 0.659
O11 0.779 0.367 0.146
O12 0.903 0.136 0.038
```



# 7
This entry pairs a crystal structure of Na3VO4 with its simulated powder X-ray diffraction pattern. Radiation: Cu Kα X-rays. Structure: a DFT-relaxed cell (GGA+U, Alexandria).
Kinematic intensities with the Lorentz-polarization factor, no thermal factor.

Largest 10 diffraction maxima, sorted by position, 10 to 90 degrees two-theta:
2θ (°)  Rel. int.
18.41  10
19.80  32
31.11  100
35.43  9
49.21  5
50.98  16
52.41  29
60.94  20
63.47  9
85.63  8

Structure:
```
data_Na3VO4
_cell_length_a 6.004
_cell_length_b 6.004
_cell_length_c 6.004
_cell_angle_alpha 130.09
_cell_angle_beta 130.09
_cell_angle_gamma 73.27
_symmetry_space_group_name_H-M 'P 1'
_symmetry_Int_Tables_number 1
loop_
_symmetry_equiv_pos_as_xyz
'x,y,z'
loop_
_atom_site_label
_atom_site_fract_x
_atom_site_fract_y
_atom_site_fract_z
Na1 0.000 0.000 0.000
Na2 0.250 0.750 0.500
Na3 0.750 0.250 0.500
V1 0.500 0.500 0.000
O1 0.196 0.596 0.000
O2 0.404 0.404 0.600
O3 0.596 0.196 0.000
O4 0.804 0.804 0.400
```



# 8
This entry pairs a crystal structure of NaV6O15 with its simulated powder X-ray diffraction pattern. Radiation: Cu Kα X-rays. Structure: a DFT-relaxed cell (GGA+U, Alexandria).
Kinematic intensities with the Lorentz-polarization factor, no thermal factor.

Largest 10 diffraction maxima, sorted by position, 10 to 90 degrees two-theta:
2θ (°)  Rel. int.
11.94  100
18.33  22
25.93  77
27.39  27
28.62  52
29.78  47
32.16  30
40.69  23
44.70  20
49.70  35

Structure:
```
data_NaV6O15
_cell_length_a 7.337
_cell_length_b 8.114
_cell_length_c 10.314
_cell_angle_alpha 70.33
_cell_angle_beta 89.97
_cell_angle_gamma 76.77
_symmetry_space_group_name_H-M 'P 1'
_symmetry_Int_Tables_number 1
loop_
_symmetry_equiv_pos_as_xyz
'x,y,z'
loop_
_atom_site_label
_atom_site_fract_x
_atom_site_fract_y
_atom_site_fract_z
Na1 0.248 0.490 0.395
Na2 0.752 0.510 0.605
V1 0.080 0.174 0.899
V2 0.106 0.074 0.590
V3 0.189 0.739 0.880
V4 0.307 0.272 0.110
V5 0.394 0.929 0.407
V6 0.415 0.828 0.102
V7 0.585 0.172 0.898
V8 0.606 0.071 0.593
V9 0.693 0.728 0.890
V10 0.811 0.261 0.120
V11 0.894 0.926 0.410
V12 0.920 0.826 0.101
O1 0.008 0.369 0.774
O2 0.051 0.292 0.528
O3 0.064 0.234 0.076
O4 0.121 0.020 0.774
O5 0.130 0.986 0.427
O6 0.162 0.885 0.045
O7 0.197 0.714 0.731
O8 0.250 0.501 0.003
O9 0.308 0.274 0.269
O10 0.348 0.142 0.949
O11 0.372 0.015 0.571
O12 0.384 0.973 0.221
O13 0.431 0.765 0.925
O14 0.448 0.631 0.221
O15 0.449 0.710 0.470
O16 0.551 0.290 0.530
O17 0.552 0.369 0.779
O18 0.569 0.235 0.075
O19 0.616 0.027 0.779
O20 0.628 0.985 0.429
O21 0.652 0.858 0.051
O22 0.692 0.726 0.731
O23 0.750 0.499 0.997
O24 0.803 0.286 0.269
O25 0.838 0.115 0.955
O26 0.870 0.014 0.573
O27 0.879 0.980 0.226
O28 0.936 0.766 0.924
O29 0.949 0.708 0.472
O30 0.992 0.631 0.226
```



# 9
This entry pairs a crystal structure of NaVWO6 with its simulated powder X-ray diffraction pattern. Radiation: Cu Kα X-rays. Structure: a DFT-relaxed cell (GGA+U, Alexandria).
Kinematic intensities with the Lorentz-polarization factor, no thermal factor.

Largest 10 diffraction maxima, sorted by position, 10 to 90 degrees two-theta:
2θ (°)  Rel. int.
13.07  100
19.16  19
20.07  31
25.70  37
26.10  31
27.03  55
28.10  30
30.73  20
36.84  24
57.50  20

Structure:
```
data_NaVWO6
_cell_length_a 5.168
_cell_length_b 5.168
_cell_length_c 7.366
_cell_angle_alpha 111.50
_cell_angle_beta 111.50
_cell_angle_gamma 42.75
_symmetry_space_group_name_H-M 'P 1'
_symmetry_Int_Tables_number 1
loop_
_symmetry_equiv_pos_as_xyz
'x,y,z'
loop_
_atom_site_label
_atom_site_fract_x
_atom_site_fract_y
_atom_site_fract_z
Na1 0.000 0.000 0.000
V1 0.185 0.185 0.642
W1 0.824 0.824 0.387
O1 0.021 0.021 0.685
O2 0.313 0.313 0.453
O3 0.322 0.322 0.864
O4 0.673 0.673 0.151
O5 0.701 0.701 0.571
O6 0.984 0.984 0.318
```